For La4BeI5, a GGA-PBE-relaxed structure gives the simulated powder XRD pattern in this record (a wavelength of 1.5418 Å).
Kinematic intensities with the Lorentz-polarization factor, no thermal factor.

Structure:
Cell lengths 10.162, 10.162, 9.341 Å; angles 102.26, 102.26, 24.31 degrees
Element x y z (fractional)
La 0.001 0.001 0.282
La 0.351 0.351 0.424
La 0.649 0.649 0.576
La 0.999 0.999 0.718
Be 0.500 0.500 0.500
I 0.167 0.167 0.843
I 0.173 0.173 0.322
I 0.500 0.500 0.000
I 0.827 0.827 0.678
I 0.833 0.833 0.157

Main lines, by angle (2θ = 10–80°):
2θ/deg	I (rel.)
25.69	164
27.60	499
27.92	159
28.28	1000
31.12	260
38.56	188
39.67	363
40.18	337
42.23	175
51.19	178

=====

For Li4BeI6, a GGA-PBE-relaxed structure gives the simulated powder XRD pattern in this record (a wavelength of 1.5418 Å).
Kinematic intensities with the Lorentz-polarization factor, no thermal factor.

Structure:
Cell lengths 8.033, 8.033, 14.024 Å; angles 107.10, 107.10, 60.05 degrees
Element x y z (fractional)
Li 0.065 0.935 0.500
Li 0.240 0.454 0.002
Li 0.426 0.860 0.845
Li 0.454 0.240 0.502
Li 0.731 0.940 0.196
Li 0.860 0.426 0.345
Li 0.935 0.065 0.000
Li 0.940 0.731 0.696
Be 0.312 0.848 0.259
Be 0.848 0.312 0.759
I 0.085 0.576 0.509
I 0.119 0.157 0.202
I 0.131 0.660 0.195
I 0.157 0.119 0.702
I 0.188 0.725 0.887
I 0.388 0.900 0.441
I 0.576 0.085 0.009
I 0.614 0.663 0.194
I 0.660 0.131 0.695
I 0.663 0.614 0.694
I 0.725 0.188 0.387
I 0.900 0.388 0.941

Main lines, by angle (2θ = 10–80°):
2θ/deg	I (rel.)
22.13	321
25.85	438
25.98	1000
26.07	286
27.09	555
27.27	185
41.21	293
41.35	212
44.86	200
45.15	390

=====

For LiBeZnPtI, a GGA-PBE-relaxed structure gives the simulated powder XRD pattern in this record (a wavelength of 1.5418 Å).
Kinematic intensities with the Lorentz-polarization factor, no thermal factor.

Structure:
Cell lengths 7.159, 7.159, 7.159 Å; angles 33.90, 33.90, 33.90 degrees
Element x y z (fractional)
Li 0.000 0.000 0.000
Be 0.786 0.786 0.786
Zn 0.427 0.427 0.427
Pt 0.130 0.130 0.130
I 0.269 0.269 0.269

Main lines, by angle (2θ = 10–80°):
2θ/deg	I (rel.)
13.13	326
25.02	1000
26.18	188
26.44	360
39.95	479
43.35	424
43.69	199
50.70	148
51.50	343
60.41	141

=====

For MgBeI4, a GGA-PBE-relaxed structure gives the simulated powder XRD pattern in this record (a wavelength of 1.5418 Å).
Kinematic intensities with the Lorentz-polarization factor, no thermal factor.

Structure:
Cell lengths 7.829, 7.829, 10.910 Å; angles 90.00, 90.00, 90.00 degrees
Element x y z (fractional)
Mg 0.000 0.000 0.000
Mg 0.000 0.000 0.500
Be 0.000 0.500 0.000
Be 0.500 0.000 0.500
I 0.233 0.270 0.000
I 0.233 0.730 0.000
I 0.270 0.233 0.500
I 0.270 0.767 0.500
I 0.730 0.233 0.500
I 0.730 0.767 0.500
I 0.767 0.270 0.000
I 0.767 0.730 0.000

Main lines, by angle (2θ = 10–80°):
2θ/deg	I (rel.)
16.25	1000
22.71	652
28.06	768
32.34	327
32.84	173
36.40	473
40.30	287
46.76	230
49.47	175
55.09	181

=====

- Number 2 is which compound?
  Li4BeI6

=====

- Number 4 is which compound?
  MgBeI4